(1)
Structure and simulated powder XRD pattern of Ac2Ge3Pd4 (the GGA-PBE geometry in Alexandria; copper Kα).
Neutral-atom scattering factors, no anomalous dispersion.

Structure:
```
data_Ac2Ge3Pd4
_chemical_formula_sum 'Ac8 Ge12 Pd16'
_cell_length_a 6.1106
_cell_length_b 15.9911
_cell_length_c 7.5700
_cell_angle_alpha 90.00
_cell_angle_beta 90.00
_cell_angle_gamma 90.00
_symmetry_space_group_name_H-M 'C m c e'
_symmetry_Int_Tables_number 64
_symmetry_space_group_name_Hall '-C 2ac 2'
loop_
_atom_site_label
_atom_site_type_symbol
_atom_site_fract_x
_atom_site_fract_y
_atom_site_fract_z
Ac1 Ac 0.0000 0.1097 0.0886
Ge1 Ge 0.0000 0.0000 0.5000
Ge2 Ge 0.2500 0.2327 0.7500
Pd1 Pd 0.0000 0.1758 0.4920
Pd2 Pd 0.2500 0.0666 0.7500
```

The 6 most intense peaks (10° ≤ 2θ ≤ 90°), by angle:
d = 2.753 Å, intensity 52, (1 3 2); d = 2.670 Å, intensity 59, (2 2 1); d = 2.654 Å, intensity 100, (1 5 1); d = 2.406 Å, intensity 46, (0 2 3); d = 2.377 Å, intensity 77, (2 0 2); d = 1.675 Å, intensity 29, (3 5 1)

---

(2)
Structure and simulated powder XRD pattern of LiGaCo (the GGA-PBE geometry in Alexandria; copper Kα).
Neutral-atom scattering factors, no anomalous dispersion.

Structure:
```
data_LiGaCo
_chemical_formula_sum 'Li4 Ga4 Co4'
_cell_length_a 2.8289
_cell_length_b 6.6961
_cell_length_c 8.4002
_cell_angle_alpha 80.29
_cell_angle_beta 80.45
_cell_angle_gamma 77.99
_symmetry_space_group_name_H-M 'P -1'
_symmetry_Int_Tables_number 2
loop_
_symmetry_equiv_pos_as_xyz
'x,y,z'
'-x,-y,-z'
loop_
_atom_site_label
_atom_site_type_symbol
_atom_site_fract_x
_atom_site_fract_y
_atom_site_fract_z
Li1 Li 0.1158 0.3905 0.3812
Li2 Li 0.3125 0.4996 0.8741
Ga1 Ga 0.3634 0.1473 0.1278
Ga2 Ga 0.4393 0.7607 0.3610
Co1 Co 0.0261 0.8302 0.1188
Co2 Co 0.2228 0.9333 0.6192
```

The 6 most intense peaks (10° ≤ 2θ ≤ 90°), by angle:
d = 6.486 Å, intensity 100, (0 1 0); d = 2.165 Å, intensity 25, (0 3 1); d = 2.115 Å, intensity 48, (1 -1 2); d = 2.051 Å, intensity 24, (0 0 4); d = 1.997 Å, intensity 22, (-1 1 2); d = 1.990 Å, intensity 21, (1 2 3)

---

(3)
Structure and simulated powder XRD pattern of PmTm2TcO8 (the GGA-PBE geometry in Alexandria; copper Kα).
Neutral-atom scattering factors, no anomalous dispersion.

Structure:
```
data_PmTm2TcO8
_chemical_formula_sum 'Pm2 Tm4 Tc2 O16'
_cell_length_a 7.0908
_cell_length_b 7.1156
_cell_length_c 6.7679
_cell_angle_alpha 90.00
_cell_angle_beta 90.00
_cell_angle_gamma 90.00
_symmetry_space_group_name_H-M 'C m m m'
_symmetry_Int_Tables_number 65
_symmetry_space_group_name_Hall '-C 2 2'
loop_
_atom_site_label
_atom_site_type_symbol
_atom_site_fract_x
_atom_site_fract_y
_atom_site_fract_z
Pm1 Pm 0.0000 0.0000 0.0000
Tm1 Tm 0.0000 0.5000 0.2486
Tc1 Tc 0.0000 0.0000 0.5000
O1 O 0.0000 0.2693 0.5000
O2 O 0.0000 0.3155 0.0000
O3 O 0.1862 0.0000 0.2966
```

The 6 most intense peaks (10° ≤ 2θ ≤ 90°), by angle:
d = 3.552 Å, intensity 100, (2 0 0); d = 2.806 Å, intensity 88, (1 1 2); d = 2.511 Å, intensity 26, (2 2 0); d = 1.873 Å, intensity 34, (1 3 2); d = 1.870 Å, intensity 35, (3 1 2); d = 1.501 Å, intensity 19, (3 3 2)

---

(4)
Structure and simulated powder XRD pattern of BaCaMg2I8 (the GGA-PBE geometry in Alexandria; copper Kα).
Neutral-atom scattering factors, no anomalous dispersion.

Structure:
```
data_BaCaMg2I8
_chemical_formula_sum 'Ba1 Ca1 Mg2 I8'
_cell_length_a 7.2459
_cell_length_b 9.1603
_cell_length_c 7.5620
_cell_angle_alpha 90.00
_cell_angle_beta 90.88
_cell_angle_gamma 90.00
_symmetry_space_group_name_H-M 'P 1 2/m 1'
_symmetry_Int_Tables_number 10
loop_
_symmetry_equiv_pos_as_xyz
'x,y,z'
'-x,-y,-z'
'-x,y,-z'
'x,-y,z'
loop_
_atom_site_label
_atom_site_type_symbol
_atom_site_fract_x
_atom_site_fract_y
_atom_site_fract_z
Ba1 Ba 0.0000 0.0000 0.0000
Ca1 Ca 0.0000 0.5000 0.0000
Mg1 Mg 0.5000 0.2561 0.5000
I1 I 0.2619 0.2704 0.1768
I2 I 0.2736 0.5000 0.6530
I3 I 0.2853 0.0000 0.6368
```

The 6 most intense peaks (10° ≤ 2θ ≤ 90°), by angle:
d = 3.623 Å, intensity 30, (2 0 0); d = 3.457 Å, intensity 39, (1 2 -1); d = 3.435 Å, intensity 100, (1 2 1); d = 3.373 Å, intensity 52, (1 0 -2); d = 2.670 Å, intensity 42, (2 2 -1); d = 2.208 Å, intensity 38, (0 2 3)

---

(5)
Structure and simulated powder XRD pattern of KNa2CN2 (the GGA-PBE geometry in Alexandria; copper Kα).
Neutral-atom scattering factors, no anomalous dispersion.

Structure:
```
data_KNa2CN2
_chemical_formula_sum 'K2 Na4 C2 N4'
_cell_length_a 4.4594
_cell_length_b 17.5081
_cell_length_c 3.6172
_cell_angle_alpha 90.00
_cell_angle_beta 90.00
_cell_angle_gamma 90.00
_symmetry_space_group_name_H-M 'P n n m'
_symmetry_Int_Tables_number 58
loop_
_symmetry_equiv_pos_as_xyz
'x,y,z'
'-x,-y,-z'
'-x,-y,z'
'x,y,-z'
'x+1/2,-y+1/2,-z+1/2'
'-x+1/2,y+1/2,z+1/2'
'-x+1/2,y+1/2,-z+1/2'
'x+1/2,-y+1/2,z+1/2'
loop_
_atom_site_label
_atom_site_type_symbol
_atom_site_fract_x
_atom_site_fract_y
_atom_site_fract_z
K1 K 0.0000 0.0000 0.0000
Na1 Na 0.0161 0.3374 0.5000
C1 C 0.0000 0.5000 0.0000
N1 N 0.0230 0.4292 0.0000
```

The 6 most intense peaks (10° ≤ 2θ ≤ 90°), by angle:
d = 8.754 Å, intensity 100, (0 2 0); d = 3.543 Å, intensity 50, (1 3 0); d = 2.918 Å, intensity 14, (0 6 0); d = 2.675 Å, intensity 65, (1 2 1); d = 2.364 Å, intensity 30, (1 4 1); d = 2.230 Å, intensity 17, (2 0 0)

---

(6)
Structure and simulated powder XRD pattern of Er2Tm3ScS6 (the GGA-PBE geometry in Alexandria; copper Kα).
Neutral-atom scattering factors, no anomalous dispersion.

Structure:
```
data_Er2Tm3ScS6
_chemical_formula_sum 'Er4 Tm6 Sc2 S12'
_cell_length_a 16.6589
_cell_length_b 3.8225
_cell_length_c 7.6761
_cell_angle_alpha 90.00
_cell_angle_beta 103.43
_cell_angle_gamma 90.00
_symmetry_space_group_name_H-M 'C 1 2/m 1'
_symmetry_Int_Tables_number 12
loop_
_symmetry_equiv_pos_as_xyz
'x,y,z'
'-x,-y,-z'
'-x,y,-z'
'x,-y,z'
'x+1/2,y+1/2,z'
'-x+1/2,-y+1/2,-z'
'-x+1/2,y+1/2,-z'
'x+1/2,-y+1/2,z'
loop_
_atom_site_label
_atom_site_type_symbol
_atom_site_fract_x
_atom_site_fract_y
_atom_site_fract_z
Er1 Er 0.1659 0.0000 0.3319
Tm1 Tm 0.0000 0.5000 0.5000
Tm2 Tm 0.1678 0.0000 0.8345
Sc1 Sc 0.0000 0.5000 0.0000
S1 S 0.0013 0.0000 0.7568
S2 S 0.1636 0.5000 0.0801
S3 S 0.1663 0.5000 0.5844
```

The 6 most intense peaks (10° ≤ 2θ ≤ 90°), by angle:
d = 3.129 Å, intensity 38, (2 0 2); d = 3.120 Å, intensity 38, (3 1 0); d = 2.706 Å, intensity 100, (6 0 0); d = 1.912 Å, intensity 59, (0 2 0); d = 1.635 Å, intensity 12, (1 1 4); d = 1.630 Å, intensity 24, (9 1 0)

---

(7)
Structure and simulated powder XRD pattern of BeAg2I4 (the GGA-PBE geometry in Alexandria; copper Kα).
Neutral-atom scattering factors, no anomalous dispersion.

Structure:
```
data_BeAg2I4
_chemical_formula_sum 'Be2 Ag4 I8'
_cell_length_a 6.9354
_cell_length_b 6.9354
_cell_length_c 11.7363
_cell_angle_alpha 90.00
_cell_angle_beta 90.00
_cell_angle_gamma 90.00
_symmetry_space_group_name_H-M 'I -4 2 m'
_symmetry_Int_Tables_number 121
_symmetry_space_group_name_Hall 'I -4 2'
loop_
_atom_site_label
_atom_site_type_symbol
_atom_site_fract_x
_atom_site_fract_y
_atom_site_fract_z
Be1 Be 0.0000 0.0000 0.0000
Ag1 Ag 0.0000 0.5000 0.0000
I1 I 0.2032 0.2032 0.1226
```

The 6 most intense peaks (10° ≤ 2θ ≤ 90°), by angle:
d = 5.868 Å, intensity 17, (0 0 2); d = 3.763 Å, intensity 100, (1 1 2); d = 2.999 Å, intensity 18, (2 1 1); d = 2.452 Å, intensity 21, (2 2 0); d = 2.240 Å, intensity 39, (2 0 4); d = 2.054 Å, intensity 21, (3 1 2)

---

(8)
Structure and simulated powder XRD pattern of Mg6AlBi (the GGA-PBE geometry in Alexandria; copper Kα).
Neutral-atom scattering factors, no anomalous dispersion.

Structure:
```
data_Mg6AlBi
_chemical_formula_sum 'Mg12 Al2 Bi2'
_cell_length_a 5.0431
_cell_length_b 6.4956
_cell_length_c 11.3493
_cell_angle_alpha 90.00
_cell_angle_beta 90.00
_cell_angle_gamma 90.00
_symmetry_space_group_name_H-M 'A m m 2'
_symmetry_Int_Tables_number 38
loop_
_symmetry_equiv_pos_as_xyz
'x,y,z'
'-x,-y,z'
'-x,y,z'
'x,-y,z'
'x,y+1/2,z+1/2'
'-x,-y+1/2,z+1/2'
'-x,y+1/2,z+1/2'
'x,-y+1/2,z+1/2'
loop_
_atom_site_label
_atom_site_type_symbol
_atom_site_fract_x
_atom_site_fract_y
_atom_site_fract_z
Mg1 Mg 0.0000 0.0000 0.0000
Mg2 Mg 0.0000 0.0000 0.4896
Mg3 Mg 0.0000 0.2311 0.2490
Mg4 Mg 0.5000 0.2469 0.9143
Al1 Al 0.5000 0.0000 0.1576
Bi1 Bi 0.5000 0.0000 0.6648
```

The 6 most intense peaks (10° ≤ 2θ ≤ 90°), by angle:
d = 5.675 Å, intensity 40, (0 0 2); d = 5.638 Å, intensity 71, (0 1 1); d = 5.043 Å, intensity 32, (1 0 0); d = 3.762 Å, intensity 100, (1 1 1); d = 2.473 Å, intensity 40, (1 0 4); d = 2.461 Å, intensity 79, (1 2 2)